Record 1
# SbPIr
Computed XRD peak list, Cu Ka. Input: a DFT-relaxed cell (GGA-PBE, OQMD).
Neutral-atom scattering factors, no anomalous dispersion.

```
data_SbPIr
_chemical_formula_sum 'Sb4 P4 Ir4'
_cell_length_a 6.2777
_cell_length_b 6.2266
_cell_length_c 6.2968
_cell_angle_alpha 90.00
_cell_angle_beta 112.49
_cell_angle_gamma 90.00
_space_group_name_H-M_alt 'P 1 21/c 1'
_space_group_IT_number 14
_space_group_name_Hall '-P 2ybc'
loop_
_atom_site_label
_atom_site_type_symbol
_atom_site_fract_x
_atom_site_fract_y
_atom_site_fract_z
_atom_site_occupancy
Sb1 Sb 0.1564 0.1243 0.3628 1
P1 P 0.3513 0.6362 0.6753 1
Ir1 Ir 0.2945 0.5175 0.2986 1
```

Most intense lines, 10 to 80 degrees two-theta, low angle first:
d/Å  I (rel.)
4.004  100
3.117  59
2.904  78
2.675  32
2.632  30
2.124  36
1.987  36
1.981  37
1.784  30
1.678  27

=====

Record 2
# Tb2PIr8
Computed XRD peak list, Cu Ka. Input: a DFT-relaxed cell (GGA-PBE, OQMD).
Neutral-atom scattering factors, no anomalous dispersion.

```
data_Tb2PIr8
_chemical_formula_sum 'Tb4 P2 Ir16'
_cell_length_a 4.2379
_cell_length_b 17.1857
_cell_length_c 5.2677
_cell_angle_alpha 90.00
_cell_angle_beta 90.00
_cell_angle_gamma 90.00
_space_group_name_H-M_alt 'A m m 2'
_space_group_IT_number 38
_space_group_name_Hall 'A 2 -2'
loop_
_atom_site_label
_atom_site_type_symbol
_atom_site_fract_x
_atom_site_fract_y
_atom_site_fract_z
_atom_site_occupancy
Tb1 Tb 0.0000 0.1177 0.0000 1
P1 P 0.5000 0.0000 0.2584 1
Ir1 Ir 0.0000 0.0000 0.4894 1
Ir2 Ir 0.0000 0.2021 0.5053 1
Ir3 Ir 0.5000 0.0000 0.8384 1
Ir4 Ir 0.5000 0.1134 0.4981 1
Ir5 Ir 0.5000 0.2474 0.2500 1
```

Most intense lines, 10 to 80 degrees two-theta, low angle first:
d/Å  I (rel.)
5.036  15
2.861  18
2.381  100
2.246  19
2.237  26
2.148  14
2.119  38
1.984  28
1.467  13
1.268  15